[1]
# Ce2Zn3Pt
Computed powder diffraction line list, Cu Kα. Input: a structure optimized by DFT (PBE).
Neutral-atom scattering factors, no anomalous dispersion.

Structure:
Lattice parameters (Å, degrees): 9.150 8.616 5.668 76.59 66.35 37.05
Positions (direct):
Ce  0.223  0.777  0.777
Ce  0.250  0.250  0.250
Ce  0.750  0.750  0.750
Ce  0.777  0.223  0.223
Zn  0.174  0.661  0.339
Zn  0.337  0.337  0.663
Zn  0.339  0.826  0.174
Zn  0.661  0.174  0.826
Zn  0.663  0.663  0.337
Zn  0.826  0.339  0.661
Pt  0.169  0.169  0.831
Pt  0.831  0.831  0.169

Top 10 peaks for 5° ≤ 2θ ≤ 70°, in order of rising 2θ:
Position (°2θ)  I (rel.)
17.30  9
35.00  100
39.39  50
39.52  25
53.65  14
53.78  19
68.54  10
68.64  11
68.79  9
69.36  25



[2]
# Ce7ZnPt4
Computed powder diffraction line list, Cu Kα. Input: a structure optimized by DFT (PBE).
Neutral-atom scattering factors, no anomalous dispersion.

Structure:
Lattice parameters (Å, degrees): 7.225 7.225 9.780 121.51 121.51 45.35
Positions (direct):
Ce  0.000  0.000  0.000
Ce  0.186  0.186  0.629
Ce  0.313  0.313  0.107
Ce  0.429  0.429  0.635
Ce  0.571  0.571  0.365
Ce  0.687  0.687  0.893
Ce  0.814  0.814  0.371
Zn  0.500  0.500  0.000
Pt  0.058  0.058  0.768
Pt  0.205  0.205  0.328
Pt  0.795  0.795  0.672
Pt  0.942  0.942  0.232

Top 10 peaks for 5° ≤ 2θ ≤ 70°, in order of rising 2θ:
Position (°2θ)  I (rel.)
30.65  57
31.98  24
32.14  100
35.99  89
38.83  45
39.35  45
43.95  28
45.00  42
59.82  22
67.22  26



[3]
# CeZnPt3
Computed powder diffraction line list, Cu Kα. Input: a structure optimized by DFT (PBE).
Neutral-atom scattering factors, no anomalous dispersion.

Structure:
Lattice parameters (Å, degrees): 5.449 7.403 5.039 90.00 90.00 90.00
Positions (direct):
Ce  0.000  0.000  0.000
Ce  0.500  0.500  0.000
Zn  0.000  0.500  0.500
Zn  0.500  0.000  0.500
Pt  0.000  0.500  0.000
Pt  0.095  0.175  0.500
Pt  0.405  0.675  0.500
Pt  0.500  0.000  0.000
Pt  0.595  0.325  0.500
Pt  0.905  0.825  0.500

Top 10 peaks for 5° ≤ 2θ ≤ 70°, in order of rising 2θ:
Position (°2θ)  I (rel.)
29.95  100
32.88  50
35.10  28
35.63  84
39.52  41
40.11  38
44.11  33
45.07  33
49.26  37
54.72  31



[4]
# Ce2ZnPt7
Computed powder diffraction line list, Cu Kα. Input: a structure optimized by DFT (PBE).
Neutral-atom scattering factors, no anomalous dispersion.

Structure:
Lattice parameters (Å, degrees): 3.889 3.889 12.760 90.00 90.00 90.00
Positions (direct):
Ce  0.000  0.500  0.238
Ce  0.500  0.000  0.762
Zn  0.000  0.000  0.500
Pt  0.000  0.000  0.000
Pt  0.000  0.500  0.646
Pt  0.000  0.500  0.849
Pt  0.500  0.000  0.151
Pt  0.500  0.000  0.354
Pt  0.500  0.500  0.000
Pt  0.500  0.500  0.500

Top 10 peaks for 5° ≤ 2θ ≤ 70°, in order of rising 2θ:
Position (°2θ)  I (rel.)
6.93  13
23.92  26
31.16  32
35.55  100
42.36  50
43.45  46
46.71  51
64.88  29
64.99  13
68.20  17



[5]
# CeZnPt6
Computed powder diffraction line list, Cu Kα. Input: a structure optimized by DFT (PBE).
Neutral-atom scattering factors, no anomalous dispersion.

Structure:
Lattice parameters (Å, degrees): 4.091 4.091 7.981 90.00 90.00 90.00
Positions (direct):
Ce  0.000  0.000  0.000
Zn  0.000  0.000  0.500
Pt  0.000  0.500  0.264
Pt  0.000  0.500  0.736
Pt  0.500  0.000  0.264
Pt  0.500  0.000  0.736
Pt  0.500  0.500  0.000
Pt  0.500  0.500  0.500

Top 10 peaks for 5° ≤ 2θ ≤ 70°, in order of rising 2θ:
Position (°2θ)  I (rel.)
21.72  3
30.91  1
31.31  3
32.93  1
38.43  100
44.28  34
45.46  15
64.41  11
65.33  20
66.95  2



[6]
# CeZn4Pt4
Computed powder diffraction line list, Cu Kα. Input: a structure optimized by DFT (PBE).
Neutral-atom scattering factors, no anomalous dispersion.

Structure:
Lattice parameters (Å, degrees): 5.838 5.838 9.027 90.00 90.00 90.00
Positions (direct):
Ce  0.250  0.750  0.250
Ce  0.750  0.250  0.750
Zn  0.030  0.250  0.173
Zn  0.250  0.030  0.673
Zn  0.250  0.470  0.673
Zn  0.470  0.250  0.173
Zn  0.530  0.750  0.827
Zn  0.750  0.530  0.327
Zn  0.750  0.970  0.327
Zn  0.970  0.750  0.827
Pt  0.014  0.250  0.466
Pt  0.250  0.014  0.966
Pt  0.250  0.486  0.966
Pt  0.486  0.250  0.466
Pt  0.514  0.750  0.534
Pt  0.750  0.514  0.034
Pt  0.750  0.986  0.034
Pt  0.986  0.750  0.534

Top 10 peaks for 5° ≤ 2θ ≤ 70°, in order of rising 2θ:
Position (°2θ)  I (rel.)
19.67  34
32.23  100
33.51  27
35.80  55
42.97  27
43.18  93
43.87  45
48.50  39
53.68  18
63.77  24